Rb3AuF6: calculated powder X-ray diffraction pattern (CuKα), based on a structure optimized by DFT (GGA-PBE).
Peak positions follow from Bragg's law for the DFT cell and can differ from measured ones.

Principal peaks in the range 2θ = 15–90°, in order of rising 2θ:
2θ (°)	I_rel
25.2	937
26.1	1000
26.8	791
30.6	598
35.9	632
43.9	619

Crystal structure
Cell lengths 7.248, 7.359, 7.360 Å; angles 73.91, 87.82, 70.64 degrees
Sites, in units of the cell vectors:
Rb1 0.000 0.000 0.000
Rb2 0.000 0.500 0.500
Rb3 0.500 0.000 0.500
Au1 0.000 0.000 0.500
F1 0.074 0.195 0.291
F2 0.203 0.129 0.716
F3 0.233 0.785 0.456
F4 0.767 0.215 0.544
F5 0.797 0.871 0.284
F6 0.926 0.805 0.709

---

ZrGaNi: calculated powder X-ray diffraction pattern (CuKα), based on a structure optimized by DFT (GGA-PBE).
Peak positions follow from Bragg's law for the DFT cell and can differ from measured ones.

Principal peaks in the range 2θ = 15–90°, in order of rising 2θ:
2θ (°)	I_rel
36.7	1000
39.8	823
40.2	465
45.8	358
52.2	218
74.8	270

Crystal structure
Cell lengths 6.858, 6.858, 3.504 Å; angles 90.00, 90.00, 120.00 degrees
Sites, in units of the cell vectors:
Zr1 0.000 0.406 0.000
Zr2 0.406 0.000 0.000
Zr3 0.594 0.594 0.000
Ga1 0.000 0.742 0.500
Ga2 0.258 0.258 0.500
Ga3 0.742 0.000 0.500
Ni1 0.000 0.000 0.000
Ni2 0.333 0.667 0.500
Ni3 0.667 0.333 0.500

---

Na2ZnH4S2O8: calculated powder X-ray diffraction pattern (CuKα), based on a structure optimized by DFT (GGA-PBE).
Peak positions follow from Bragg's law for the DFT cell and can differ from measured ones.

Principal peaks in the range 2θ = 15–90°, in order of rising 2θ:
2θ (°)	I_rel
19.4	1000
20.0	580
20.3	738
27.4	846
27.6	572
27.7	372

Crystal structure
Cell lengths 5.510, 8.306, 11.206 Å; angles 90.00, 110.75, 90.00 degrees
Sites, in units of the cell vectors:
Na1 0.167 0.031 0.377
Na2 0.167 0.469 0.877
Na3 0.833 0.531 0.123
Na4 0.833 0.969 0.623
Zn1 0.000 0.000 0.000
Zn2 0.000 0.500 0.500
H1 0.256 0.669 0.471
H2 0.256 0.831 0.971
H3 0.269 0.607 0.424
H4 0.269 0.893 0.924
H5 0.731 0.107 0.076
H6 0.731 0.393 0.576
H7 0.744 0.169 0.029
H8 0.744 0.331 0.529
S1 0.338 0.225 0.665
S2 0.338 0.275 0.165
S3 0.662 0.725 0.835
S4 0.662 0.775 0.335
O1 0.156 0.108 0.578
O2 0.156 0.392 0.078
O3 0.277 0.249 0.281
O4 0.277 0.251 0.781
O5 0.301 0.112 0.091
O6 0.301 0.388 0.591
O7 0.391 0.678 0.808
O8 0.391 0.822 0.308
O9 0.609 0.178 0.692
O10 0.609 0.322 0.192
O11 0.699 0.612 0.409
O12 0.699 0.888 0.909
O13 0.723 0.749 0.219
O14 0.723 0.751 0.719
O15 0.844 0.608 0.922
O16 0.844 0.892 0.422

---

Tm2Ni2Sn: calculated powder X-ray diffraction pattern (CuKα), based on a structure optimized by DFT (GGA-PBE).
Peak positions follow from Bragg's law for the DFT cell and can differ from measured ones.

Principal peaks in the range 2θ = 15–90°, in order of rising 2θ:
2θ (°)	I_rel
27.4	228
34.7	549
36.9	1000
39.2	434
59.5	182
65.1	196

Crystal structure
Cell lengths 7.273, 7.273, 3.667 Å; angles 90.00, 90.00, 90.00 degrees
Sites, in units of the cell vectors:
Tm1 0.174 0.326 0.000
Tm2 0.326 0.826 0.000
Tm3 0.674 0.174 0.000
Tm4 0.826 0.674 0.000
Ni1 0.121 0.621 0.500
Ni2 0.379 0.121 0.500
Ni3 0.621 0.879 0.500
Ni4 0.879 0.379 0.500
Sn1 0.000 0.000 0.500
Sn2 0.500 0.500 0.500

---

Ti3Os: calculated powder X-ray diffraction pattern (CuKα), based on a structure optimized by DFT (GGA-PBE).
Peak positions follow from Bragg's law for the DFT cell and can differ from measured ones.

Principal peaks in the range 2θ = 15–90°, in order of rising 2θ:
2θ (°)	I_rel
24.4	435
28.3	229
40.4	1000
47.8	233
58.5	163
73.5	323

Crystal structure
Cell lengths 6.314, 6.314, 6.314 Å; angles 90.00, 90.00, 90.00 degrees
Sites, in units of the cell vectors:
Ti1 0.000 0.000 0.000
Ti2 0.000 0.500 0.500
Ti3 0.250 0.250 0.250
Ti4 0.250 0.250 0.750
Ti5 0.250 0.750 0.250
Ti6 0.250 0.750 0.750
Ti7 0.500 0.000 0.500
Ti8 0.500 0.500 0.000
Ti9 0.750 0.250 0.250
Ti10 0.750 0.250 0.750
Ti11 0.750 0.750 0.250
Ti12 0.750 0.750 0.750
Os1 0.000 0.000 0.500
Os2 0.000 0.500 0.000
Os3 0.500 0.000 0.000
Os4 0.500 0.500 0.500

---

CrP3S9: calculated powder X-ray diffraction pattern (CuKα), based on a structure optimized by DFT (GGA-PBE).
Peak positions follow from Bragg's law for the DFT cell and can differ from measured ones.

Principal peaks in the range 2θ = 15–90°, in order of rising 2θ:
2θ (°)	I_rel
16.2	994
17.9	1000
19.0	452
19.5	421
30.4	462
31.0	486

Crystal structure
Cell lengths 11.847, 11.871, 13.197 Å; angles 107.12, 107.42, 98.25 degrees
Sites, in units of the cell vectors:
Cr1 0.000 0.000 0.000
Cr2 0.171 0.763 0.476
Cr3 0.443 0.547 0.004
Cr4 0.741 0.240 0.501
P1 0.025 0.948 0.497
P2 0.068 0.262 0.141
P3 0.086 0.492 0.309
P4 0.118 0.846 0.000
P5 0.319 0.675 0.000
P6 0.507 0.913 0.694
P7 0.510 0.438 0.174
P8 0.543 0.470 0.827
P9 0.636 0.320 0.673
P10 0.658 0.342 0.326
P11 0.738 0.910 0.859
P12 0.870 0.119 0.501
S1 0.012 0.094 0.629
S2 0.016 0.183 0.970
S3 0.044 0.644 0.285
S4 0.055 0.682 0.856
S5 0.069 0.372 0.494
S6 0.077 0.543 0.565
S7 0.094 0.126 0.199
S8 0.174 0.958 0.456
S9 0.186 0.988 0.965
S10 0.207 0.420 0.216
S11 0.223 0.681 0.843
S12 0.240 0.649 0.588
S13 0.268 0.805 0.113
S14 0.345 0.712 0.444
S15 0.361 0.952 0.722
S16 0.368 0.472 0.801
S17 0.396 0.349 0.012
S18 0.411 0.847 0.397
S19 0.476 0.363 0.291
S20 0.517 0.615 0.206
S21 0.542 0.205 0.514
S22 0.565 0.289 0.793
S23 0.574 0.777 0.770
S24 0.583 0.905 0.493
S25 0.611 0.499 0.704
S26 0.640 0.582 0.989
S27 0.662 0.167 0.298
S28 0.668 0.052 0.826
S29 0.689 0.411 0.205
S30 0.766 0.439 0.487
S31 0.813 0.321 0.703
S32 0.814 0.948 0.028
S33 0.878 0.884 0.806
S34 0.881 0.973 0.369
S35 0.934 0.345 0.178
S36 0.999 0.796 0.531

---

Ta2Ti2Co2C: calculated powder X-ray diffraction pattern (CuKα), based on a structure optimized by DFT (GGA-PBE).
Peak positions follow from Bragg's law for the DFT cell and can differ from measured ones.

Principal peaks in the range 2θ = 15–90°, in order of rising 2θ:
2θ (°)	I_rel
15.4	193
33.9	338
38.2	636
40.6	1000
40.7	295
69.0	283

Crystal structure
Cell lengths 8.153, 8.153, 8.153 Å; angles 119.85, 119.85, 90.26 degrees
Sites, in units of the cell vectors:
Ta1 0.188 0.188 0.000
Ta2 0.189 0.189 0.377
Ta3 0.189 0.811 0.000
Ta4 0.562 0.062 0.500
Ta5 0.811 0.189 0.000
Ta6 0.811 0.811 0.623
Ta7 0.812 0.812 0.000
Ta8 0.938 0.438 0.500
Ti1 0.374 0.125 0.751
Ti2 0.374 0.623 0.249
Ti3 0.377 0.626 0.751
Ti4 0.564 0.064 0.128
Ti5 0.564 0.436 0.500
Ti6 0.875 0.626 0.249
Ti7 0.936 0.064 0.500
Ti8 0.936 0.436 0.872
Co1 0.165 0.500 0.335
Co2 0.165 0.831 0.665
Co3 0.169 0.835 0.335
Co4 0.248 0.416 0.832
Co5 0.500 0.835 0.665
Co6 0.584 0.416 0.168
Co7 0.584 0.416 0.832
Co8 0.584 0.752 0.168
C1 0.379 0.128 0.251
C2 0.872 0.124 0.251
C3 0.872 0.621 0.749
C4 0.876 0.128 0.749

---

SmPS: calculated powder X-ray diffraction pattern (CuKα), based on a structure optimized by DFT (GGA-PBE).
Peak positions follow from Bragg's law for the DFT cell and can differ from measured ones.

Principal peaks in the range 2θ = 15–90°, in order of rising 2θ:
2θ (°)	I_rel
20.8	296
25.3	1000
33.0	225
39.0	277
39.3	702
47.0	256

Crystal structure
Cell lengths 5.502, 5.433, 17.070 Å; angles 90.00, 90.00, 90.00 degrees
Sites, in units of the cell vectors:
Sm1 0.016 0.250 0.138
Sm2 0.016 0.750 0.353
Sm3 0.484 0.250 0.853
Sm4 0.484 0.750 0.638
Sm5 0.516 0.250 0.362
Sm6 0.516 0.750 0.147
Sm7 0.984 0.250 0.647
Sm8 0.984 0.750 0.862
P1 0.200 0.040 0.503
P2 0.200 0.460 0.503
P3 0.300 0.540 0.003
P4 0.300 0.960 0.003
P5 0.700 0.040 0.997
P6 0.700 0.460 0.997
P7 0.800 0.540 0.497
P8 0.800 0.960 0.497
S1 0.012 0.750 0.183
S2 0.015 0.250 0.311
S3 0.485 0.750 0.811
S4 0.488 0.250 0.683
S5 0.512 0.750 0.317
S6 0.515 0.250 0.189
S7 0.985 0.750 0.689
S8 0.988 0.250 0.817